This entry pairs a crystal structure of LiTl2CdSe4 with its simulated powder diffractogram. Radiation: a wavelength of 1.5418 Å. Structure: a cell relaxed with GGA-PBE.
Intensities are scaled so that the largest is 100.

Atomic structure:
Cell: 7.556 7.495 6.401 Å, 65.32 64.34 50.34°
Element x y z (fractional)
Li 0.000 0.000 0.000
Tl 0.251 0.251 0.249
Tl 0.751 0.751 0.749
Cd 0.500 0.500 0.500
Se 0.127 0.639 0.873
Se 0.357 0.867 0.133
Se 0.639 0.127 0.361
Se 0.867 0.357 0.643

The 10 most intense peaks (2θ = 15–90°), by angle:
two_theta, I/Imax
19.40, 17.5
24.44, 96.3
24.80, 100.0
31.68, 28.4
39.38, 27.1
40.30, 25.4
41.20, 93.0
47.10, 35.5
47.70, 31.8
57.61, 17.7


This entry pairs a crystal structure of CrMoRh3 with its simulated powder diffractogram. Radiation: a wavelength of 1.5418 Å. Structure: a cell relaxed with GGA-PBE.
Intensities are scaled so that the largest is 100.

Atomic structure:
Cell: 6.519 6.519 5.341 Å, 90.00 90.00 140.71°
Element x y z (fractional)
Cr 0.194 0.806 0.750
Cr 0.806 0.194 0.250
Mo 0.000 0.000 0.000
Mo 0.000 0.000 0.500
Rh 0.197 0.803 0.250
Rh 0.383 0.617 0.001
Rh 0.383 0.617 0.499
Rh 0.617 0.383 0.501
Rh 0.617 0.383 0.999
Rh 0.803 0.197 0.750

The 10 most intense peaks (2θ = 15–90°), by angle:
two_theta, I/Imax
36.70, 43.3
41.19, 57.6
42.18, 94.1
45.53, 100.0
56.33, 24.8
70.80, 19.1
75.74, 15.8
78.13, 20.0
85.33, 23.3
85.74, 23.2


This entry pairs a crystal structure of TbDy8Sc6 with its simulated powder diffractogram. Radiation: a wavelength of 1.5418 Å. Structure: a cell relaxed with GGA-PBE.
Intensities are scaled so that the largest is 100.

Atomic structure:
Cell: 11.964 11.964 3.567 Å, 90.00 90.00 120.00°
Element x y z (fractional)
Tb 0.000 0.000 0.000
Dy 0.096 0.329 0.500
Dy 0.233 0.904 0.500
Dy 0.329 0.233 0.500
Dy 0.333 0.667 0.500
Dy 0.667 0.333 0.500
Dy 0.671 0.767 0.500
Dy 0.767 0.096 0.500
Dy 0.904 0.671 0.500
Sc 0.113 0.629 0.000
Sc 0.371 0.485 0.000
Sc 0.485 0.113 0.000
Sc 0.515 0.887 0.000
Sc 0.629 0.515 0.000
Sc 0.887 0.371 0.000

The 10 most intense peaks (2θ = 15–90°), by angle:
two_theta, I/Imax
24.96, 30.2
25.80, 35.4
29.87, 47.1
30.42, 95.6
31.12, 100.0
34.00, 70.2
39.31, 28.8
40.30, 45.7
55.38, 37.7
61.65, 33.1


This entry pairs a crystal structure of Ba4Ce2In2O11 with its simulated powder diffractogram. Radiation: a wavelength of 1.5418 Å. Structure: a cell relaxed with GGA-PBE.
Intensities are scaled so that the largest is 100.

Atomic structure:
Cell: 6.124 8.877 6.151 Å, 90.00 90.07 90.00°
Element x y z (fractional)
Ba 0.000 0.000 0.000
Ba 0.001 0.500 0.962
Ba 0.497 0.000 0.467
Ba 0.501 0.500 0.483
Ce 0.501 0.254 0.974
Ce 0.501 0.746 0.974
In 0.001 0.228 0.488
In 0.001 0.772 0.488
O 0.014 0.000 0.570
O 0.241 0.229 0.229
O 0.241 0.771 0.229
O 0.246 0.305 0.715
O 0.246 0.695 0.715
O 0.499 0.000 0.911
O 0.508 0.500 0.045
O 0.755 0.222 0.232
O 0.755 0.778 0.232
O 0.756 0.302 0.716
O 0.756 0.698 0.716

The 10 most intense peaks (2θ = 15–90°), by angle:
two_theta, I/Imax
28.77, 100.0
29.03, 21.5
29.16, 22.7
40.65, 12.7
41.62, 26.4
50.77, 20.0
51.30, 20.4
51.46, 19.9
59.59, 14.9
68.19, 10.5


This entry pairs a crystal structure of YbPb6 with its simulated powder diffractogram. Radiation: a wavelength of 1.5418 Å. Structure: a cell relaxed with GGA-PBE.
Intensities are scaled so that the largest is 100.

Atomic structure:
Cell: 7.453 7.453 7.453 Å, 109.47 109.47 109.47°
Element x y z (fractional)
Yb 0.000 0.000 0.000
Pb 0.250 0.500 0.750
Pb 0.250 0.750 0.500
Pb 0.500 0.250 0.750
Pb 0.500 0.750 0.250
Pb 0.750 0.250 0.500
Pb 0.750 0.500 0.250

The 10 most intense peaks (2θ = 15–90°), by angle:
two_theta, I/Imax
20.64, 40.7
25.35, 100.0
36.15, 45.1
39.16, 65.4
41.99, 39.3
47.23, 19.3
58.76, 20.4
60.89, 26.8
67.03, 20.8
72.91, 18.6


This entry pairs a crystal structure of Pm2Be2Si3 with its simulated powder diffractogram. Radiation: a wavelength of 1.5418 Å. Structure: a cell relaxed with GGA-PBE.
Intensities are scaled so that the largest is 100.

Atomic structure:
Cell: 9.438 9.438 6.756 Å, 90.00 90.00 155.53°
Element x y z (fractional)
Pm 0.047 0.953 0.750
Pm 0.171 0.829 0.250
Pm 0.829 0.171 0.750
Pm 0.953 0.047 0.250
Be 0.337 0.663 0.095
Be 0.337 0.663 0.405
Be 0.663 0.337 0.595
Be 0.663 0.337 0.905
Si 0.206 0.794 0.750
Si 0.439 0.561 0.575
Si 0.439 0.561 0.925
Si 0.561 0.439 0.075
Si 0.561 0.439 0.425
Si 0.794 0.206 0.250

The 10 most intense peaks (2θ = 15–90°), by angle:
two_theta, I/Imax
22.74, 42.9
23.36, 71.9
26.38, 56.8
29.74, 29.8
35.11, 74.1
35.67, 100.0
44.79, 28.1
45.34, 21.6
57.41, 23.9
65.63, 18.0


This entry pairs a crystal structure of Hf2ZrAs2 with its simulated powder diffractogram. Radiation: a wavelength of 1.5418 Å. Structure: a cell relaxed with GGA-PBE.
Intensities are scaled so that the largest is 100.

Atomic structure:
Cell: 7.982 7.982 7.038 Å, 90.00 90.00 153.25°
Element x y z (fractional)
Hf 0.030 0.970 0.500
Hf 0.180 0.820 0.179
Hf 0.820 0.180 0.679
Hf 0.970 0.030 0.000
Zr 0.372 0.628 0.331
Zr 0.628 0.372 0.831
As 0.201 0.799 0.567
As 0.450 0.550 0.716
As 0.550 0.450 0.216
As 0.799 0.201 0.067

The 10 most intense peaks (2θ = 15–90°), by angle:
two_theta, I/Imax
27.87, 91.8
34.39, 28.6
35.72, 79.0
37.00, 45.8
37.85, 71.6
39.42, 100.0
40.04, 71.7
40.15, 50.4
49.35, 47.7
62.91, 31.5


This entry pairs a crystal structure of Fe2NiPt4 with its simulated powder diffractogram. Radiation: a wavelength of 1.5418 Å. Structure: a cell relaxed with GGA-PBE.
Intensities are scaled so that the largest is 100.

Atomic structure:
Cell: 6.239 11.904 2.737 Å, 90.00 90.00 90.00°
Element x y z (fractional)
Fe 0.237 0.117 0.000
Fe 0.263 0.617 0.000
Fe 0.737 0.383 0.000
Fe 0.763 0.883 0.000
Ni 0.000 0.500 0.500
Ni 0.500 0.000 0.500
Pt 0.035 0.275 0.500
Pt 0.169 0.910 0.000
Pt 0.331 0.410 0.000
Pt 0.465 0.775 0.500
Pt 0.535 0.225 0.500
Pt 0.669 0.590 0.000
Pt 0.831 0.090 0.000
Pt 0.965 0.725 0.500

The 10 most intense peaks (2θ = 15–90°), by angle:
two_theta, I/Imax
20.62, 48.6
32.40, 48.2
36.12, 62.4
36.64, 100.0
40.56, 54.3
41.96, 63.0
44.01, 85.2
44.21, 33.1
45.00, 80.7
69.09, 37.7


This entry pairs a crystal structure of NdHo3H8 with its simulated powder diffractogram. Radiation: a wavelength of 1.5418 Å. Structure: a cell relaxed with GGA-PBE.
Intensities are scaled so that the largest is 100.

Atomic structure:
Cell: 5.223 5.223 5.223 Å, 90.00 90.00 90.00°
Element x y z (fractional)
Nd 0.000 0.000 0.000
Ho 0.000 0.500 0.500
Ho 0.500 0.000 0.500
Ho 0.500 0.500 0.000
H 0.258 0.258 0.258
H 0.258 0.258 0.742
H 0.258 0.742 0.258
H 0.258 0.742 0.742
H 0.742 0.258 0.258
H 0.742 0.258 0.742
H 0.742 0.742 0.258
H 0.742 0.742 0.742

The 8 most intense peaks (2θ = 15–90°), by angle:
two_theta, I/Imax
29.62, 100.0
34.34, 49.0
49.35, 37.7
58.62, 44.0
61.50, 12.5
72.37, 6.0
80.08, 17.9
82.61, 16.5


This entry pairs a crystal structure of Mn2PtC with its simulated powder diffractogram. Radiation: a wavelength of 1.5418 Å. Structure: a cell relaxed with GGA-PBE.
Intensities are scaled so that the largest is 100.

Atomic structure:
Cell: 5.103 5.103 5.103 Å, 102.42 102.42 124.74°
Element x y z (fractional)
Mn 0.019 0.625 0.894
Mn 0.375 0.269 0.394
Mn 0.731 0.125 0.106
Mn 0.875 0.981 0.606
Pt 0.250 0.750 0.500
Pt 0.500 0.500 0.000
C 0.000 0.000 0.000
C 0.750 0.250 0.500

The 10 most intense peaks (2θ = 15–90°), by angle:
two_theta, I/Imax
23.38, 44.3
27.91, 30.3
36.72, 100.0
39.88, 35.4
43.15, 52.3
46.75, 27.7
60.20, 33.2
65.26, 17.5
77.29, 16.6
88.18, 11.9


This entry pairs a crystal structure of CsPmBr3 with its simulated powder diffractogram. Radiation: a wavelength of 1.5418 Å. Structure: a cell relaxed with GGA-PBE.
Intensities are scaled so that the largest is 100.

Atomic structure:
Cell: 14.293 14.293 6.711 Å, 90.00 90.00 120.00°
Element x y z (fractional)
Cs 0.000 0.335 0.000
Cs 0.000 0.665 0.500
Cs 0.335 0.000 0.000
Cs 0.335 0.335 0.500
Cs 0.665 0.000 0.500
Cs 0.665 0.665 0.000
Pm 0.000 0.000 0.214
Pm 0.000 0.000 0.714
Pm 0.333 0.667 0.264
Pm 0.333 0.667 0.764
Pm 0.667 0.333 0.264
Pm 0.667 0.333 0.764
Br 0.000 0.172 0.464
Br 0.000 0.828 0.964
Br 0.161 0.494 0.514
Br 0.161 0.667 0.014
Br 0.172 0.000 0.464
Br 0.172 0.172 0.964
Br 0.333 0.494 0.014
Br 0.333 0.839 0.514
Br 0.494 0.161 0.514
Br 0.494 0.333 0.014
Br 0.506 0.667 0.514
Br 0.506 0.839 0.014
Br 0.667 0.161 0.014
Br 0.667 0.506 0.514
Br 0.828 0.000 0.964
Br 0.828 0.828 0.464
Br 0.839 0.333 0.514
Br 0.839 0.506 0.014

The 10 most intense peaks (2θ = 15–90°), by angle:
two_theta, I/Imax
21.54, 35.5
28.30, 100.0
29.41, 26.5
36.74, 49.3
42.99, 13.5
43.89, 38.5
47.98, 20.0
53.04, 16.4
71.22, 13.3
75.94, 13.3


This entry pairs a crystal structure of CeZn6Ni6 with its simulated powder diffractogram. Radiation: a wavelength of 1.5418 Å. Structure: a cell relaxed with GGA-PBE.
Intensities are scaled so that the largest is 100.

Atomic structure:
Cell: 6.511 6.511 6.511 Å, 135.37 100.07 96.52°
Element x y z (fractional)
Ce 0.000 0.000 0.000
Zn 0.208 0.708 0.500
Zn 0.345 0.000 0.345
Zn 0.353 0.353 0.000
Zn 0.647 0.647 0.000
Zn 0.655 0.000 0.655
Zn 0.792 0.292 0.500
Ni 0.000 0.000 0.500
Ni 0.000 0.500 0.000
Ni 0.225 0.500 0.725
Ni 0.500 0.000 0.000
Ni 0.500 0.500 0.500
Ni 0.775 0.500 0.275

The 10 most intense peaks (2θ = 15–90°), by angle:
two_theta, I/Imax
35.99, 35.7
36.34, 22.2
37.01, 25.1
41.67, 30.3
42.13, 100.0
42.48, 38.6
42.67, 52.0
43.26, 32.9
47.60, 43.9
48.36, 15.4


Repeat the ninth record exactly.
This entry pairs a crystal structure of NdHo3H8 with its simulated powder diffractogram. Radiation: a wavelength of 1.5418 Å. Structure: a cell relaxed with GGA-PBE.
Intensities are scaled so that the largest is 100.

Atomic structure:
Cell: 5.223 5.223 5.223 Å, 90.00 90.00 90.00°
Element x y z (fractional)
Nd 0.000 0.000 0.000
Ho 0.000 0.500 0.500
Ho 0.500 0.000 0.500
Ho 0.500 0.500 0.000
H 0.258 0.258 0.258
H 0.258 0.258 0.742
H 0.258 0.742 0.258
H 0.258 0.742 0.742
H 0.742 0.258 0.258
H 0.742 0.258 0.742
H 0.742 0.742 0.258
H 0.742 0.742 0.742

The 8 most intense peaks (2θ = 15–90°), by angle:
two_theta, I/Imax
29.62, 100.0
34.34, 49.0
49.35, 37.7
58.62, 44.0
61.50, 12.5
72.37, 6.0
80.08, 17.9
82.61, 16.5